The following is a theoretical powder diffractogram of Al2Bi3O9. It was derived from a GGA-PBE-relaxed structure, using Cu Kα, 1.54184 Å.

Main lines, low angle first (2θ = 10–90°):
two_theta, Rel. int.
20.90, 44
24.59, 92
28.35, 24
32.49, 100
35.05, 57
41.17, 70
43.40, 32
50.41, 34
50.52, 27
61.27, 35

Atomic structure:
```
data_Al2Bi3O9
_cell_length_a 3.620
_cell_length_b 3.620
_cell_length_c 12.751
_cell_angle_alpha 90.00
_cell_angle_beta 90.00
_cell_angle_gamma 90.00
_space_group_name_H-M_alt 'P 4/m m m'
_space_group_IT_number 123
_space_group_name_Hall '-P 4 2'
loop_
_atom_site_label
_atom_site_fract_x
_atom_site_fract_y
_atom_site_fract_z
Al1 0.000 0.000 0.167
Bi1 0.500 0.500 0.000
Bi2 0.500 0.500 0.370
O1 0.000 0.000 0.000
O2 0.000 0.000 0.315
O3 0.000 0.500 0.150
O4 0.000 0.500 0.500
```